[1]
Be2Nb3: theoretical PXRD pattern (Cu Kα), based on the PBE geometry in the Materials Project.
Peak positions follow from Bragg's law for the DFT cell and can differ from measured ones.

Crystal structure
Lattice parameters (Å, degrees): 6.538 6.538 3.364 90.00 90.00 90.00
Sites, in units of the cell vectors:
Be (0.113, 0.387, 0.000)
Be (0.387, 0.887, 0.000)
Be (0.613, 0.113, 0.000)
Be (0.887, 0.613, 0.000)
Nb (0.000, 0.000, 0.000)
Nb (0.179, 0.679, 0.500)
Nb (0.321, 0.179, 0.500)
Nb (0.500, 0.500, 0.000)
Nb (0.679, 0.821, 0.500)
Nb (0.821, 0.321, 0.500)

Largest 12 diffraction maxima, most intense first, 5° ≤ 2θ ≤ 70°:
2θ = 38.40°, d = 2.344 Å, rel. 100; 2θ = 40.89°, d = 2.207 Å, rel. 71; 2θ = 30.57°, d = 2.924 Å, rel. 63; 2θ = 32.93°, d = 2.720 Å, rel. 50; 2θ = 43.79°, d = 2.068 Å, rel. 47; 2θ = 38.96°, d = 2.312 Å, rel. 30; 2θ = 66.77°, d = 1.401 Å, rel. 29; 2θ = 65.02°, d = 1.434 Å, rel. 24; 2θ = 58.18°, d = 1.586 Å, rel. 18; 2θ = 19.20°, d = 4.623 Å, rel. 17; 2θ = 54.56°, d = 1.682 Å, rel. 17; 2θ = 63.84°, d = 1.458 Å, rel. 15

=====

[2]
NdBeO3: theoretical PXRD pattern (Cu Kα), based on the PBE geometry in the Materials Project.
Peak positions follow from Bragg's law for the DFT cell and can differ from measured ones.

Crystal structure
Lattice parameters (Å, degrees): 3.660 3.660 3.660 90.00 90.00 90.00
Sites, in units of the cell vectors:
Nd (0.000, 0.000, 0.000)
Be (0.500, 0.500, 0.500)
O (0.000, 0.500, 0.500)
O (0.500, 0.000, 0.500)
O (0.500, 0.500, 0.000)

Largest 6 diffraction maxima, most intense first, 5° ≤ 2θ ≤ 70°:
2θ = 34.66°, d = 2.588 Å, rel. 100; 2θ = 24.32°, d = 3.660 Å, rel. 99; 2θ = 42.79°, d = 2.113 Å, rel. 71; 2θ = 56.19°, d = 1.637 Å, rel. 44; 2θ = 62.12°, d = 1.494 Å, rel. 39; 2θ = 49.83°, d = 1.830 Å, rel. 38

=====

[3]
Be2NiRh: theoretical PXRD pattern (Cu Kα), based on the PBE geometry in the Materials Project.
Peak positions follow from Bragg's law for the DFT cell and can differ from measured ones.

Crystal structure
Lattice parameters (Å, degrees): 3.819 3.819 3.819 60.00 60.00 60.00
Sites, in units of the cell vectors:
Be (0.250, 0.250, 0.250)
Be (0.750, 0.750, 0.750)
Ni (0.000, 0.000, 0.000)
Rh (0.500, 0.500, 0.500)

Largest 6 diffraction maxima, most intense first, 5° ≤ 2θ ≤ 70°:
2θ = 33.17°, d = 2.701 Å, rel. 100; 2θ = 47.62°, d = 1.910 Å, rel. 93; 2θ = 59.26°, d = 1.559 Å, rel. 24; 2θ = 69.63°, d = 1.350 Å, rel. 14; 2θ = 28.63°, d = 3.118 Å, rel. 13; 2θ = 56.51°, d = 1.629 Å, rel. 6